The following is a theoretical powder diffraction line list of Np2WO11. It was derived from the GGA+U geometry in Alexandria, using copper Kα.
Kinematic intensities with the Lorentz-polarization factor, no thermal factor.

Principal peaks in the range 2θ from 10° to 90°, sorted by position:
- 15.83 deg, I = 40, (0 2 0)
- 18.90 deg, I = 60, (1 1 1)
- 19.92 deg, I = 100, (3 1 -1)
- 20.32 deg, I = 69, (0 2 1)
- 20.81 deg, I = 46, (2 2 -1)
- 24.20 deg, I = 36, (4 0 -1)
- 25.49 deg, I = 33, (0 0 2)
- 32.10 deg, I = 43, (4 2 0)

```
data_Np2WO11
_space_group_name_H-M_alt 'C 1 m 1'
_space_group_IT_number 8
_cell_length_a 14.7308
_cell_length_b 11.1969
_cell_length_c 8.0059
_cell_angle_alpha 90.00
_cell_angle_beta 119.18
_cell_angle_gamma 90.00
loop_
_space_group_symop_operation_xyz
'x,y,z'
'x,-y,z'
'x+1/2,y+1/2,z'
'x+1/2,-y+1/2,z'
loop_
_atom_site_label
_atom_site_type_symbol
_atom_site_fract_x
_atom_site_fract_y
_atom_site_fract_z
_atom_site_occupancy
Np1 Np 0.0000 0.0000 0.0000 1
Np2 Np 0.0023 0.5000 0.5468 1
Np3 Np 0.2446 0.5000 0.0939 1
Np4 Np 0.2616 0.0000 0.9231 1
W1 W 0.1344 0.2126 0.4586 1
O1 O 0.0651 0.1260 0.2307 1
O2 O 0.0675 0.3549 0.4465 1
O3 O 0.1379 0.5000 0.8010 1
O4 O 0.1474 0.0000 0.9804 1
O5 O 0.1489 0.1174 0.6531 1
O6 O 0.2265 0.3404 0.0906 1
O7 O 0.2575 0.2484 0.4930 1
O8 O 0.2894 0.1549 0.9953 1
O9 O 0.3474 0.5000 0.3484 1
O10 O 0.3560 0.0000 0.8358 1
O11 O 0.3608 0.5000 0.0081 1
O12 O 0.3924 0.0000 0.2918 1
O13 O 0.4595 0.1212 0.6542 1
O14 O 0.4618 0.3626 0.8624 1
```